1.
For PmPPb2O8, DFT lattice parameters and positions (PBE) gives the theoretical powder diffraction line list in this record (Cu Kα).
Intensities are scaled so that the largest is 100.

Principal peaks in the range 10 to 90 degrees two-theta, low angle first:
index  two_theta  d_spacing  I_rel
0 0 1  14.20  6.238  28
0 1 1  24.17  3.683  100
1 1 0  34.03  2.634  70
1 0 2  34.84  2.575  40
2 0 1  42.18  2.143  39
0 2 2  49.50  1.841  25

Crystal structure
abc: 5.2688 5.2688 6.2376
angles: 90.00 90.00 120.00
Space group P-3m1 (No. 164)
One atom of each set of equivalent atoms:
Pm (0.0000, 0.0000, 0.0000) (multiplicity 1)
P (0.0000, 0.0000, 0.5000) (multiplicity 1)
Pb (0.3333, 0.6667, 0.3905) (multiplicity 2)
O (0.1535, 0.3070, 0.6589) (multiplicity 6)
O (0.3333, 0.6667, 0.0693) (multiplicity 2)

***

2.
For PrP2PbO8, DFT lattice parameters and positions (PBE) gives the theoretical powder diffraction line list in this record (Cu Kα).
Intensities are scaled so that the largest is 100.

Principal peaks in the range 10 to 90 degrees two-theta, low angle first:
index  two_theta  d_spacing  I_rel
1 0 0  18.62  4.766  100
1 0 2  30.14  2.965  85
1 1 0  32.54  2.752  48
1 1 2  40.52  2.227  41
0 2 2  44.94  2.017  38
2 1 2  56.57  1.627  27

Crystal structure
abc: 5.5035 5.5035 7.5747
angles: 90.00 90.00 120.00
Space group P-3m1 (No. 164)
One atom of each set of equivalent atoms:
Pr (0.0000, 0.0000, 0.0000) (multiplicity 1)
P (0.3333, 0.6667, 0.2842) (multiplicity 2)
Pb (0.0000, 0.0000, 0.5000) (multiplicity 1)
O (0.1801, 0.3601, 0.2152) (multiplicity 6)
O (0.3333, 0.6667, 0.4883) (multiplicity 2)

***

3.
For P2RuPbO8, DFT lattice parameters and positions (PBE) gives the theoretical powder diffraction line list in this record (Cu Kα).
Intensities are scaled so that the largest is 100.

Principal peaks in the range 10 to 90 degrees two-theta, low angle first:
index  two_theta  d_spacing  I_rel
1 1 0  20.05  4.428  100
2 0 0  21.80  4.077  59
0 0 2  23.55  3.778  63
1 1 -2  30.64  2.918  71
1 1 2  31.55  2.836  58
3 1 0  37.21  2.416  47

Crystal structure
abc: 8.1660 5.2738 7.5752
angles: 90.00 93.05 90.00
Space group C2/m (No. 12)
One atom of each set of equivalent atoms:
P (0.1363, 0.0000, 0.2882) (multiplicity 4)
Ru (0.0000, 0.5000, 0.5000) (multiplicity 2)
Pb (0.0000, 0.5000, 0.0000) (multiplicity 2)
O (0.0254, 0.2429, 0.3045) (multiplicity 8)
O (0.2009, 0.0000, 0.1036) (multiplicity 4)
O (0.2379, 0.5000, 0.5515) (multiplicity 4)